# NaMgGa2Ag2
Simulated X-ray powder pattern, Cu Kα (λ = 1.5418 Å). Input: a crystal structure in Alexandria, relaxed with PBE.
Intensities are scaled so that the largest is 100.

Crystal structure
```
data_NaMgGa2Ag2
_chemical_formula_sum 'Na1 Mg1 Ga2 Ag2'
_space_group_name_H-M_alt 'P -3 m 1'
_space_group_IT_number 164
_space_group_name_Hall '-P 3 2"'
_cell_length_a 4.5906
_cell_length_b 4.5906
_cell_length_c 6.7055
_cell_angle_alpha 90.00
_cell_angle_beta 90.00
_cell_angle_gamma 120.00
loop_
_atom_site_label
_atom_site_fract_x
_atom_site_fract_y
_atom_site_fract_z
Na1 0.0000 0.0000 0.0000
Mg1 0.0000 0.0000 0.5000
Ga1 0.3333 0.6667 0.7289
Ag1 0.3333 0.6667 0.2981
```

Main lines, in order of falling intensity (15 to 90 degrees two-theta):
(1 1 0), 39.25°, rel. 100; (1 0 2), 35.01°, rel. 80; (1 1 2), 48.04°, rel. 47; (1 0 0), 22.36°, rel. 45; (0 0 2), 26.59°, rel. 41; (0 2 2), 53.60°, rel. 22; (2 1 2), 68.42°, rel. 21; (1 1 3), 57.56°, rel. 19; (0 1 1), 26.06°, rel. 18; (3 0 0), 71.15°, rel. 16